No. 1
For Tb6Pr5Dy2, a structure optimized by DFT (PBE) gives the theoretical powder X-ray diffraction pattern in this record (Cu Kα).
Lines closer than 0.1° are merged.

Crystal structure
a b c (Å): 11.736 20.746 3.629
angles (deg): 90.00 90.00 90.00
Positions (direct):
Tb (0.062, 0.081, 0.000)
Tb (0.081, 0.368, 0.000)
Tb (0.175, 0.638, 0.500)
Tb (0.325, 0.138, 0.500)
Tb (0.419, 0.868, 0.000)
Tb (0.438, 0.581, 0.000)
Tb (0.562, 0.419, 0.000)
Tb (0.581, 0.132, 0.000)
Tb (0.675, 0.862, 0.500)
Tb (0.825, 0.362, 0.500)
Tb (0.919, 0.632, 0.000)
Tb (0.938, 0.919, 0.000)
Pr (0.000, 0.500, 0.500)
Pr (0.083, 0.227, 0.500)
Pr (0.198, 0.949, 0.500)
Pr (0.302, 0.449, 0.500)
Pr (0.417, 0.727, 0.500)
Pr (0.500, 0.000, 0.500)
Pr (0.583, 0.273, 0.500)
Pr (0.698, 0.551, 0.500)
Pr (0.802, 0.051, 0.500)
Pr (0.917, 0.773, 0.500)
Dy (0.172, 0.789, 0.000)
Dy (0.328, 0.289, 0.000)
Dy (0.672, 0.711, 0.000)
Dy (0.828, 0.211, 0.000)

Peak list (12 most intense, 2θ from 10° to 80°, in order of rising 2θ)
Position (°2θ)	I/Imax
26.9	14
30.8	55
31.1	100
31.4	14
31.7	88
33.8	38
34.6	17
36.2	29
50.3	19
56.3	20
60.1	20
60.3	17

No. 2
For Tb2PrDy7, a structure optimized by DFT (PBE) gives the theoretical powder X-ray diffraction pattern in this record (Cu Kα).
Lines closer than 0.1° are merged.

Crystal structure
a b c (Å): 5.452 7.040 9.473
angles (deg): 111.76 106.70 90.04
Positions (direct):
Tb (0.199, 0.199, 0.398)
Tb (0.801, 0.801, 0.602)
Pr (0.000, 0.500, 0.000)
Dy (0.000, 0.000, 0.000)
Dy (0.201, 0.701, 0.401)
Dy (0.390, 0.138, 0.781)
Dy (0.390, 0.642, 0.781)
Dy (0.610, 0.358, 0.219)
Dy (0.610, 0.862, 0.219)
Dy (0.799, 0.299, 0.599)

Peak list (12 most intense, 2θ from 10° to 80°, in order of rising 2θ)
Position (°2θ)	I/Imax
30.7	87
31.4	100
32.9	46
33.3	42
34.3	17
41.3	16
47.5	31
57.3	15
57.7	18
58.7	18
62.0	29
62.9	14

No. 3
For Tb7Pr2Dy2, a structure optimized by DFT (PBE) gives the theoretical powder X-ray diffraction pattern in this record (Cu Kα).
Lines closer than 0.1° are merged.

Crystal structure
a b c (Å): 8.089 8.089 6.116
angles (deg): 106.23 106.23 91.45
Positions (direct):
Tb (0.000, 0.000, 0.000)
Tb (0.062, 0.587, 0.821)
Tb (0.228, 0.228, 0.579)
Tb (0.413, 0.938, 0.179)
Tb (0.587, 0.062, 0.821)
Tb (0.772, 0.772, 0.421)
Tb (0.938, 0.413, 0.179)
Pr (0.410, 0.410, 0.194)
Pr (0.590, 0.590, 0.806)
Dy (0.214, 0.786, 0.500)
Dy (0.786, 0.214, 0.500)

Peak list (12 most intense, 2θ from 10° to 80°, in order of rising 2θ)
Position (°2θ)	I/Imax
25.5	18
29.6	10
30.5	22
30.9	38
31.8	100
33.4	31
33.7	23
35.4	10
44.9	13
49.5	10
55.6	20
58.7	11

No. 4
For Tb4Pr4Dy, a structure optimized by DFT (PBE) gives the theoretical powder X-ray diffraction pattern in this record (Cu Kα).
Lines closer than 0.1° are merged.

Crystal structure
a b c (Å): 6.265 6.265 10.887
angles (deg): 106.56 106.56 48.49
Positions (direct):
Tb (0.166, 0.166, 0.054)
Tb (0.168, 0.168, 0.724)
Tb (0.832, 0.832, 0.276)
Tb (0.834, 0.834, 0.946)
Pr (0.167, 0.167, 0.389)
Pr (0.499, 0.499, 0.167)
Pr (0.501, 0.501, 0.833)
Pr (0.833, 0.833, 0.611)
Dy (0.500, 0.500, 0.500)

Peak list (12 most intense, 2θ from 10° to 80°, in order of rising 2θ)
Position (°2θ)	I/Imax
30.2	100
34.9	34
35.1	17
50.2	18
50.3	12
50.5	6
59.7	22
59.8	7
59.9	7
60.0	7
62.7	6
62.8	6

No. 5
For Tb3PrDy2, a structure optimized by DFT (PBE) gives the theoretical powder X-ray diffraction pattern in this record (Cu Kα).
Lines closer than 0.1° are merged.

Crystal structure
a b c (Å): 7.205 7.212 8.895
angles (deg): 78.23 78.27 60.13
Positions (direct):
Tb (0.139, 0.139, 0.164)
Tb (0.250, 0.250, 0.500)
Tb (0.361, 0.861, 0.835)
Tb (0.639, 0.139, 0.165)
Tb (0.750, 0.750, 0.500)
Tb (0.861, 0.861, 0.836)
Pr (0.250, 0.750, 0.500)
Pr (0.750, 0.250, 0.500)
Dy (0.139, 0.638, 0.165)
Dy (0.360, 0.361, 0.836)
Dy (0.640, 0.639, 0.164)
Dy (0.861, 0.362, 0.835)

Peak list (12 most intense, 2θ from 10° to 80°, in order of rising 2θ)
Position (°2θ)	I/Imax
28.8	36
29.4	18
31.0	51
31.8	100
33.5	61
33.5	30
50.6	26
50.7	13
54.6	21
57.8	13
60.5	23
60.6	23

No. 6
For Tb3Pr8Dy4, a structure optimized by DFT (PBE) gives the theoretical powder X-ray diffraction pattern in this record (Cu Kα).
Lines closer than 0.1° are merged.

Crystal structure
a b c (Å): 12.697 12.697 12.697
angles (deg): 32.34 32.34 32.34
Positions (direct):
Tb (0.000, 0.500, 0.500)
Tb (0.500, 0.000, 0.500)
Tb (0.500, 0.500, 0.000)
Pr (0.251, 0.251, 0.749)
Pr (0.251, 0.749, 0.251)
Pr (0.251, 0.749, 0.749)
Pr (0.254, 0.254, 0.254)
Pr (0.746, 0.746, 0.746)
Pr (0.749, 0.251, 0.251)
Pr (0.749, 0.251, 0.749)
Pr (0.749, 0.749, 0.251)
Dy (0.000, 0.000, 0.000)
Dy (0.165, 0.165, 0.165)
Dy (0.500, 0.500, 0.500)
Dy (0.835, 0.835, 0.835)

Peak list (12 most intense, 2θ from 10° to 80°, in order of rising 2θ)
Position (°2θ)	I/Imax
26.3	20
29.3	32
29.7	59
30.8	100
33.8	15
35.4	72
50.3	24
51.7	39
59.5	17
60.8	48
61.4	14
64.2	13

No. 7
For Tb4Pr3Dy4, a structure optimized by DFT (PBE) gives the theoretical powder X-ray diffraction pattern in this record (Cu Kα).
Lines closer than 0.1° are merged.

Crystal structure
a b c (Å): 10.684 6.689 6.689
angles (deg): 50.86 90.00 90.00
Positions (direct):
Tb (0.000, 0.000, 0.000)
Tb (0.214, 0.795, 0.795)
Tb (0.500, 0.932, 0.932)
Tb (0.786, 0.795, 0.795)
Pr (0.000, 0.298, 0.298)
Pr (0.294, 0.450, 0.450)
Pr (0.706, 0.450, 0.450)
Dy (0.000, 0.599, 0.599)
Dy (0.296, 0.146, 0.146)
Dy (0.500, 0.660, 0.660)
Dy (0.704, 0.146, 0.146)

Peak list (12 most intense, 2θ from 10° to 80°, in order of rising 2θ)
Position (°2θ)	I/Imax
30.4	28
30.8	15
31.1	37
31.9	100
33.6	16
44.3	11
46.4	13
52.5	10
55.8	9
55.9	20
61.9	13
62.3	12

No. 8
For TbPr6Dy8, a structure optimized by DFT (PBE) gives the theoretical powder X-ray diffraction pattern in this record (Cu Kα).
Lines closer than 0.1° are merged.

Crystal structure
a b c (Å): 9.981 9.981 5.910
angles (deg): 90.00 90.00 120.00
Positions (direct):
Tb (0.000, 0.000, 0.000)
Pr (0.054, 0.775, 0.729)
Pr (0.225, 0.279, 0.729)
Pr (0.279, 0.054, 0.271)
Pr (0.721, 0.946, 0.729)
Pr (0.775, 0.721, 0.271)
Pr (0.946, 0.225, 0.271)
Dy (0.093, 0.619, 0.244)
Dy (0.333, 0.667, 0.726)
Dy (0.381, 0.474, 0.244)
Dy (0.474, 0.093, 0.756)
Dy (0.526, 0.907, 0.244)
Dy (0.619, 0.526, 0.756)
Dy (0.667, 0.333, 0.274)
Dy (0.907, 0.381, 0.756)

Peak list (12 most intense, 2θ from 10° to 80°, in order of rising 2θ)
Position (°2θ)	I/Imax
27.3	21
30.2	22
31.3	100
40.6	6
41.2	21
48.2	19
54.4	19
58.0	15
58.6	14
65.3	6
75.6	7
79.3	7

No. 9
For TbPr3Dy8, a structure optimized by DFT (PBE) gives the theoretical powder X-ray diffraction pattern in this record (Cu Kα).
Lines closer than 0.1° are merged.

Crystal structure
a b c (Å): 8.410 8.410 8.410
angles (deg): 117.15 117.15 95.01
Positions (direct):
Tb (0.000, 0.000, 0.000)
Pr (0.250, 0.750, 0.500)
Pr (0.500, 0.500, 0.000)
Pr (0.750, 0.250, 0.500)
Dy (0.121, 0.121, 0.749)
Dy (0.236, 0.236, 0.490)
Dy (0.255, 0.764, 0.000)
Dy (0.371, 0.371, 0.251)
Dy (0.629, 0.879, 0.000)
Dy (0.745, 0.745, 0.510)
Dy (0.764, 0.255, 0.000)
Dy (0.879, 0.629, 0.000)

Peak list (12 most intense, 2θ from 10° to 80°, in order of rising 2θ)
Position (°2θ)	I/Imax
14.3	32
24.0	70
25.7	56
28.8	82
31.5	74
32.9	66
36.0	100
43.2	53
44.3	71
55.9	28
59.1	26
69.0	37

No. 10
For Tb5Pr4Dy2, a structure optimized by DFT (PBE) gives the theoretical powder X-ray diffraction pattern in this record (Cu Kα).
Lines closer than 0.1° are merged.

Crystal structure
a b c (Å): 10.072 10.072 6.695
angles (deg): 90.87 90.87 32.93
Positions (direct):
Tb (0.000, 0.000, 0.000)
Tb (0.291, 0.291, 0.597)
Tb (0.370, 0.370, 0.108)
Tb (0.630, 0.630, 0.892)
Tb (0.709, 0.709, 0.403)
Pr (0.194, 0.194, 0.072)
Pr (0.481, 0.481, 0.712)
Pr (0.519, 0.519, 0.288)
Pr (0.806, 0.806, 0.928)
Dy (0.097, 0.097, 0.554)
Dy (0.903, 0.903, 0.446)

Peak list (12 most intense, 2θ from 10° to 80°, in order of rising 2θ)
Position (°2θ)	I/Imax
30.6	24
30.8	17
31.1	70
31.3	100
44.4	18
45.0	10
49.3	7
55.6	16
55.7	12
55.9	11
59.6	8
61.4	9

No. 11
For Tb2PrDy9, a structure optimized by DFT (PBE) gives the theoretical powder X-ray diffraction pattern in this record (Cu Kα).
Lines closer than 0.1° are merged.

Crystal structure
a b c (Å): 5.033 5.033 15.101
angles (deg): 90.00 90.00 90.00
Positions (direct):
Tb (0.000, 0.000, 0.166)
Tb (0.000, 0.000, 0.834)
Pr (0.000, 0.000, 0.500)
Dy (0.000, 0.500, 0.000)
Dy (0.000, 0.500, 0.331)
Dy (0.000, 0.500, 0.669)
Dy (0.500, 0.000, 0.000)
Dy (0.500, 0.000, 0.331)
Dy (0.500, 0.000, 0.669)
Dy (0.500, 0.500, 0.165)
Dy (0.500, 0.500, 0.500)
Dy (0.500, 0.500, 0.835)

Peak list (6 most intense, 2θ from 10° to 80°, in order of rising 2θ)
Position (°2θ)	I/Imax
30.8	100
35.7	51
51.3	36
61.1	43
64.1	12
75.6	6

No. 12
For Tb5PrDy2, a structure optimized by DFT (PBE) gives the theoretical powder X-ray diffraction pattern in this record (Cu Kα).
Lines closer than 0.1° are merged.

Crystal structure
a b c (Å): 7.158 14.316 5.043
angles (deg): 90.00 90.00 90.00
Positions (direct):
Tb (0.000, 0.000, 0.000)
Tb (0.001, 0.249, 0.000)
Tb (0.249, 0.874, 0.500)
Tb (0.251, 0.374, 0.500)
Tb (0.499, 0.749, 0.000)
Tb (0.500, 0.500, 0.000)
Tb (0.501, 0.251, 0.000)
Tb (0.749, 0.626, 0.500)
Tb (0.751, 0.126, 0.500)
Tb (0.999, 0.751, 0.000)
Pr (0.000, 0.500, 0.000)
Pr (0.500, 0.000, 0.000)
Dy (0.250, 0.126, 0.500)
Dy (0.250, 0.626, 0.500)
Dy (0.750, 0.374, 0.500)
Dy (0.750, 0.874, 0.500)

Peak list (10 most intense, 2θ from 10° to 80°, in order of rising 2θ)
Position (°2θ)	I/Imax
30.6	100
35.5	34
35.6	17
51.0	12
51.1	24
60.7	29
60.9	14
63.8	12
75.1	4
75.4	2

No. 13
For Tb2Pr6Dy3, a structure optimized by DFT (PBE) gives the theoretical powder X-ray diffraction pattern in this record (Cu Kα).
Lines closer than 0.1° are merged.

Crystal structure
a b c (Å): 6.304 8.114 8.151
angles (deg): 107.37 97.32 104.93
Positions (direct):
Tb (0.229, 0.411, 0.046)
Tb (0.771, 0.589, 0.954)
Pr (0.048, 0.682, 0.408)
Pr (0.136, 0.046, 0.230)
Pr (0.320, 0.771, 0.865)
Pr (0.680, 0.229, 0.135)
Pr (0.864, 0.954, 0.770)
Pr (0.952, 0.318, 0.592)
Dy (0.410, 0.139, 0.683)
Dy (0.500, 0.500, 0.500)
Dy (0.590, 0.861, 0.317)

Peak list (12 most intense, 2θ from 10° to 80°, in order of rising 2θ)
Position (°2θ)	I/Imax
30.1	100
30.1	33
34.8	45
35.0	22
50.0	8
50.1	32
50.2	8
59.4	14
59.6	24
59.7	19
62.4	4
62.6	12